This entry pairs a crystal structure of KGaPb with its theoretical powder diffractogram. Radiation: Cu Kα X-rays. Structure: a structure optimized by DFT (GGA-PBE).

Structure:
Unit cell a=8.239 b=8.239 c=8.103 alpha=90.00 beta=90.00 gamma=90.00
Space group P4_122 (No. 91)
Inequivalent atoms, fractional coordinates:
K  0.000  0.357  0.000 (multiplicity 4)
Ga  0.372  0.372  0.375 (multiplicity 4)
Pb  0.297  0.500  0.750 (multiplicity 4)

Main lines, low angle first (10 to 80 degrees two-theta):
2θ = 10.74°, intensity 1000, hkl 1 0 0; 2θ = 15.34°, intensity 176, hkl 1 0 1; 2θ = 18.76°, intensity 112, hkl 1 1 1; 2θ = 26.57°, intensity 228, hkl 2 1 1; 2θ = 30.96°, intensity 262, hkl 2 0 2; 2θ = 32.85°, intensity 178, hkl 2 1 2; 2θ = 36.22°, intensity 167, hkl 3 1 1; 2θ = 46.82°, intensity 117, hkl 4 1 1


This entry pairs a crystal structure of Ce2SbPd8 with its theoretical powder diffractogram. Radiation: Cu Kα X-rays. Structure: a structure optimized by DFT (GGA-PBE).

Structure:
Unit cell a=4.853 b=5.966 c=14.371 alpha=90.00 beta=90.00 gamma=90.00
Space group Immm (No. 71)
Inequivalent atoms, fractional coordinates:
Ce  0.000  0.000  0.182 (multiplicity 4)
Sb  0.000  0.000  0.500 (multiplicity 2)
Pd  0.000  0.258  0.358 (multiplicity 8)
Pd  0.000  0.259  0.000 (multiplicity 4)
Pd  0.000  0.500  0.185 (multiplicity 4)

Main lines, low angle first (10 to 80 degrees two-theta):
2θ = 36.33°, intensity 180, hkl 1 0 5; 2θ = 37.05°, intensity 352, hkl 2 0 0; 2θ = 37.55°, intensity 215, hkl 0 0 6; 2θ = 40.17°, intensity 1000, hkl 1 2 3; 2θ = 53.78°, intensity 150, hkl 2 0 6; 2θ = 68.87°, intensity 198, hkl 3 2 3; 2θ = 72.77°, intensity 85, hkl 2 2 8; 2θ = 74.70°, intensity 96, hkl 2 4 0


This entry pairs a crystal structure of Tl3SiAu8 with its theoretical powder diffractogram. Radiation: Cu Kα X-rays. Structure: a structure optimized by DFT (GGA-PBE).

Structure:
Unit cell a=10.1558 b=10.1558 c=5.6352 alpha=90.00 beta=90.00 gamma=120.00
Space group P6_3mc (No. 186)
Inequivalent atoms, fractional coordinates:
Tl  0.1510  0.3021  0.0000 (multiplicity 6)
Si  0.3333  0.6667  0.2812 (multiplicity 2)
Au  0.0000  0.0000  0.2375 (multiplicity 2)
Au  0.0252  0.5126  0.2193 (multiplicity 6)
Au  0.2108  0.4216  0.5128 (multiplicity 6)
Au  0.3333  0.6667  0.8537 (multiplicity 2)

Main lines, low angle first (10 to 80 degrees two-theta):
2θ = 31.24°, intensity 353, hkl 2 1 1; 2θ = 34.48°, intensity 469, hkl 3 0 1; 2θ = 35.35°, intensity 1000, hkl 2 2 0; 2θ = 37.93°, intensity 939, hkl 2 0 2; 2θ = 44.60°, intensity 160, hkl 3 0 2; 2θ = 52.81°, intensity 171, hkl 4 0 2; 2θ = 65.16°, intensity 235, hkl 4 2 2; 2θ = 68.70°, intensity 128, hkl 5 2 1


This entry pairs a crystal structure of Mg3Cd8In3 with its theoretical powder diffractogram. Radiation: Cu Kα X-rays. Structure: a structure optimized by DFT (GGA-PBE).

Structure:
Unit cell a=4.991 b=9.753 c=13.763 alpha=90.00 beta=90.00 gamma=90.00
Space group Immm (No. 71)
Inequivalent atoms, fractional coordinates:
Mg  0.000  0.000  0.000 (multiplicity 2)
Mg  0.000  0.314  0.000 (multiplicity 4)
Cd  0.000  0.156  0.215 (multiplicity 8)
Cd  0.000  0.332  0.398 (multiplicity 8)
In  0.000  0.000  0.500 (multiplicity 2)
In  0.000  0.500  0.186 (multiplicity 4)

Main lines, low angle first (10 to 80 degrees two-theta):
2θ = 26.38°, intensity 235, hkl 1 0 3; 2θ = 28.20°, intensity 420, hkl 0 3 1; 2θ = 32.93°, intensity 368, hkl 1 1 4; 2θ = 33.80°, intensity 346, hkl 0 3 3; 2θ = 35.44°, intensity 1000, hkl 1 3 2; 2θ = 35.99°, intensity 551, hkl 2 0 0; 2θ = 37.31°, intensity 593, hkl 1 0 5; 2θ = 50.20°, intensity 239, hkl 2 3 3


This entry pairs a crystal structure of P5Pb3Se with its theoretical powder diffractogram. Radiation: Cu Kα X-rays. Structure: a structure optimized by DFT (GGA-PBE).

Structure:
Unit cell a=13.370 b=11.288 c=6.924 alpha=90.00 beta=90.00 gamma=90.00
Space group Cmc2_1 (No. 36)
Inequivalent atoms, fractional coordinates:
P  0.000  0.184  0.000 (multiplicity 4)
P  0.108  0.077  0.831 (multiplicity 8)
P  0.238  0.372  0.378 (multiplicity 8)
Pb  0.000  0.138  0.475 (multiplicity 4)
Pb  0.216  0.379  0.781 (multiplicity 8)
Se  0.000  0.366  0.836 (multiplicity 4)

Main lines, low angle first (10 to 80 degrees two-theta):
2θ = 20.30°, intensity 1000, hkl 0 2 1; 2θ = 24.32°, intensity 536, hkl 2 2 1; 2θ = 26.67°, intensity 428, hkl 4 0 0; 2θ = 29.05°, intensity 553, hkl 2 0 2; 2θ = 31.71°, intensity 467, hkl 0 4 0; 2θ = 33.75°, intensity 664, hkl 4 2 1; 2θ = 43.52°, intensity 697, hkl 2 4 2; 2θ = 44.53°, intensity 344, hkl 2 2 3


This entry pairs a crystal structure of Li6MgTl2 with its theoretical powder diffractogram. Radiation: Cu Kα X-rays. Structure: a structure optimized by DFT (GGA-PBE).

Structure:
Unit cell a=8.385 b=8.663 c=4.632 alpha=90.00 beta=90.00 gamma=90.00
Space group Pnnm (No. 58)
Inequivalent atoms, fractional coordinates:
Li  0.011  0.166  0.000 (multiplicity 4)
Li  0.160  0.062  0.500 (multiplicity 4)
Li  0.181  0.387  0.500 (multiplicity 4)
Mg  0.000  0.500  0.000 (multiplicity 2)
Tl  0.157  0.725  0.500 (multiplicity 4)

Main lines, low angle first (10 to 80 degrees two-theta):
2θ = 20.50°, intensity 443, hkl 0 2 0; 2θ = 21.92°, intensity 233, hkl 1 0 1; 2θ = 23.57°, intensity 653, hkl 2 1 0; 2θ = 24.24°, intensity 1000, hkl 1 1 1; 2θ = 30.19°, intensity 291, hkl 1 2 1; 2θ = 37.59°, intensity 320, hkl 3 0 1; 2θ = 38.27°, intensity 297, hkl 1 3 1; 2θ = 43.18°, intensity 331, hkl 3 2 1


This entry pairs a crystal structure of Ac6PrMg with its theoretical powder diffractogram. Radiation: Cu Kα X-rays. Structure: a structure optimized by DFT (GGA-PBE).

Structure:
Unit cell a=5.517 b=5.517 c=21.618 alpha=90.00 beta=90.00 gamma=90.00
Space group I4/mmm (No. 139)
Inequivalent atoms, fractional coordinates:
Ac  0.000  0.000  0.250 (multiplicity 4)
Ac  0.000  0.500  0.118 (multiplicity 8)
Pr  0.000  0.000  0.000 (multiplicity 2)
Mg  0.000  0.000  0.500 (multiplicity 2)

Main lines, low angle first (10 to 80 degrees two-theta):
2θ = 28.21°, intensity 1000, hkl 1 1 4; 2θ = 32.46°, intensity 356, hkl 2 0 0; 2θ = 33.16°, intensity 161, hkl 0 0 8; 2θ = 46.56°, intensity 133, hkl 2 2 0; 2θ = 47.08°, intensity 244, hkl 2 0 8; 2θ = 55.33°, intensity 317, hkl 3 1 4; 2θ = 56.24°, intensity 131, hkl 1 1 12; 2θ = 58.34°, intensity 130, hkl 2 2 8


This entry pairs a crystal structure of KPmPdF6 with its theoretical powder diffractogram. Radiation: Cu Kα X-rays. Structure: a structure optimized by DFT (GGA-PBE).

Structure:
Unit cell a=7.999 b=8.498 c=11.687 alpha=90.00 beta=90.00 gamma=90.00
Space group Imma (No. 74)
Inequivalent atoms, fractional coordinates:
K  0.000  0.250  0.027 (multiplicity 4)
Pm  0.000  0.000  0.500 (multiplicity 4)
Pd  0.250  0.250  0.750 (multiplicity 4)
F  0.000  0.250  0.427 (multiplicity 4)
F  0.000  0.250  0.815 (multiplicity 4)
F  0.217  0.071  0.613 (multiplicity 16)

Main lines, low angle first (10 to 80 degrees two-theta):
2θ = 12.88°, intensity 1000, hkl 0 1 1; 2θ = 13.41°, intensity 795, hkl 1 0 1; 2θ = 24.92°, intensity 802, hkl 1 2 1; 2θ = 25.77°, intensity 346, hkl 2 1 1; 2θ = 25.93°, intensity 534, hkl 0 2 2; 2θ = 27.01°, intensity 754, hkl 2 0 2; 2θ = 43.89°, intensity 375, hkl 2 2 4; 2θ = 51.13°, intensity 275, hkl 2 4 2


This entry pairs a crystal structure of Dy4ThSb5 with its theoretical powder diffractogram. Radiation: Cu Kα X-rays. Structure: a structure optimized by DFT (GGA-PBE).

Structure:
Unit cell a=4.414 b=6.250 c=22.037 alpha=90.00 beta=90.00 gamma=90.00
Space group Immm (No. 71)
Inequivalent atoms, fractional coordinates:
Dy  0.000  0.000  0.101 (multiplicity 4)
Dy  0.000  0.000  0.297 (multiplicity 4)
Th  0.000  0.000  0.500 (multiplicity 2)
Sb  0.000  0.500  0.103 (multiplicity 4)
Sb  0.000  0.500  0.301 (multiplicity 4)
Sb  0.000  0.500  0.500 (multiplicity 2)

Main lines, low angle first (10 to 80 degrees two-theta):
2θ = 24.70°, intensity 57, hkl 1 1 0; 2θ = 28.60°, intensity 1000, hkl 0 2 0; 2θ = 40.89°, intensity 764, hkl 2 0 0; 2θ = 50.66°, intensity 273, hkl 2 2 0; 2θ = 59.25°, intensity 85, hkl 2 0 10; 2θ = 67.04°, intensity 293, hkl 3 0 5; 2θ = 74.43°, intensity 174, hkl 2 4 0; 2θ = 74.54°, intensity 84, hkl 1 2 15


This entry pairs a crystal structure of LiY2Be3Cu12 with its theoretical powder diffractogram. Radiation: Cu Kα X-rays. Structure: a structure optimized by DFT (GGA-PBE).

Structure:
Unit cell a=7.6509 b=7.6509 c=16.4837 alpha=90.00 beta=90.00 gamma=120.00
Space group R-3m (No. 166, hexagonal axes)
Inequivalent atoms, fractional coordinates:
Li  0.0000  0.0000  0.0000 (multiplicity 3)
Y  0.0000  0.0000  0.3954 (multiplicity 6)
Be  0.0000  0.5000  0.5000 (multiplicity 9)
Cu  0.0033  0.5017  0.3737 (multiplicity 18)
Cu  0.0418  0.5209  0.8544 (multiplicity 18)

Main lines, low angle first (10 to 80 degrees two-theta):
2θ = 27.46°, intensity 106, hkl 0 2 1; 2θ = 34.74°, intensity 1000, hkl 0 2 4; 2θ = 36.28°, intensity 101, hkl 2 1 1; 2θ = 37.54°, intensity 101, hkl 1 2 2; 2θ = 38.52°, intensity 149, hkl 2 0 5; 2θ = 47.54°, intensity 459, hkl 2 2 0; 2θ = 52.29°, intensity 197, hkl 2 0 8; 2θ = 60.21°, intensity 154, hkl 4 0 4